(1)
This entry pairs a crystal structure of LaY3In with its computed X-ray diffraction stick pattern. Radiation: Cu Kα (weighted mean of Kα1 and Kα2). Structure: DFT lattice parameters and positions (GGA-PBE).

Main lines, in order of rising 2θ (2θ = 10–80°):
- 2.971 Å, I = 22
- 2.816 Å, I = 33
- 2.725 Å, I = 100
- 2.601 Å, I = 18
- 2.044 Å, I = 15
- 1.828 Å, I = 7
- 1.664 Å, I = 7
- 1.608 Å, I = 21
- 1.533 Å, I = 8
- 1.431 Å, I = 11

```
LaY3In
1.0
2.816 -9.140 0.000
2.816 9.140 0.000
0.000 0.000 5.941
La Y In
2 6 2
Cartesian
2.816 6.637 2.971
2.816 -6.637 0.000
2.816 8.119 5.783
2.816 4.545 5.441
2.816 0.865 5.055
2.816 -0.865 2.084
2.816 -4.545 2.471
2.816 -8.119 2.812
2.816 2.768 2.305
2.816 -2.768 5.276
```

=====

(2)
This entry pairs a crystal structure of La2Y3In4 with its computed X-ray diffraction stick pattern. Radiation: Cu Kα (weighted mean of Kα1 and Kα2). Structure: DFT lattice parameters and positions (GGA-PBE).

Main lines, in order of rising 2θ (2θ = 10–80°):
- 3.186 Å, I = 20
- 3.106 Å, I = 62
- 2.910 Å, I = 78
- 2.870 Å, I = 44
- 2.819 Å, I = 100
- 2.737 Å, I = 25
- 2.704 Å, I = 27
- 1.910 Å, I = 23
- 1.795 Å, I = 20
- 1.790 Å, I = 24

```
La2Y3In4
1.0
3.581 -8.492 0.000
3.581 8.492 0.000
0.000 0.000 9.148
La Y In
4 6 8
Cartesian
3.581 6.640 8.435
3.581 1.852 3.861
3.581 -1.852 5.287
3.581 -6.640 0.713
0.000 0.000 4.574
1.790 3.701 6.861
1.790 -3.701 2.287
3.581 0.000 0.000
5.371 3.701 6.861
5.371 -3.701 2.287
3.581 5.386 4.940
1.790 0.630 6.861
1.790 -0.630 2.287
3.581 3.105 0.366
3.581 -3.105 8.782
5.371 0.630 6.861
5.371 -0.630 2.287
3.581 -5.386 4.208
```

=====

(3)
This entry pairs a crystal structure of LaY2In6 with its computed X-ray diffraction stick pattern. Radiation: Cu Kα (weighted mean of Kα1 and Kα2). Structure: DFT lattice parameters and positions (GGA-PBE).

Main lines, in order of rising 2θ (2θ = 10–80°):
- 3.640 Å, I = 11
- 2.790 Å, I = 100
- 2.508 Å, I = 86
- 2.065 Å, I = 14
- 1.865 Å, I = 30
- 1.820 Å, I = 11
- 1.497 Å, I = 29
- 1.473 Å, I = 32
- 1.448 Å, I = 15
- 1.254 Å, I = 9

```
LaY2In6
1.0
8.689 0.000 0.000
-4.344 7.525 0.000
0.000 0.000 3.640
La Y In
1 2 6
Cartesian
0.000 0.000 0.000
0.000 5.016 0.000
4.344 2.508 0.000
-1.460 2.529 1.820
-2.884 4.996 1.820
2.920 0.000 1.820
1.460 2.529 1.820
5.769 0.000 1.820
2.884 4.996 1.820
```

=====

(4)
This entry pairs a crystal structure of LaY4In with its computed X-ray diffraction stick pattern. Radiation: Cu Kα (weighted mean of Kα1 and Kα2). Structure: DFT lattice parameters and positions (GGA-PBE).

Main lines, in order of rising 2θ (2θ = 10–80°):
- 2.882 Å, I = 26
- 2.828 Å, I = 28
- 2.790 Å, I = 100
- 2.019 Å, I = 18
- 1.930 Å, I = 8
- 1.646 Å, I = 13
- 1.625 Å, I = 19
- 1.594 Å, I = 8
- 1.395 Å, I = 9
- 1.270 Å, I = 9

```
LaY4In
1.0
2.828 -8.646 0.000
2.828 8.646 0.000
0.000 0.000 7.718
La Y In
2 8 2
Cartesian
2.828 5.537 3.859
2.828 -5.537 0.000
2.828 8.542 5.907
2.828 5.686 0.078
2.828 2.588 1.722
2.828 0.240 3.937
2.828 -0.240 0.078
2.828 -2.588 5.581
2.828 -5.686 3.937
2.828 -8.542 2.048
2.828 2.738 5.949
2.828 -2.738 2.090
```

=====

(5)
This entry pairs a crystal structure of La8Y6In with its computed X-ray diffraction stick pattern. Radiation: Cu Kα (weighted mean of Kα1 and Kα2). Structure: DFT lattice parameters and positions (GGA-PBE).

Main lines, in order of rising 2θ (2θ = 10–80°):
- 3.475 Å, I = 23
- 3.133 Å, I = 25
- 3.056 Å, I = 25
- 2.787 Å, I = 100
- 2.748 Å, I = 44
- 2.695 Å, I = 14
- 2.273 Å, I = 12
- 1.790 Å, I = 15
- 1.764 Å, I = 15
- 1.491 Å, I = 13

```
La8Y6In
1.0
9.337 0.000 0.000
-4.668 8.086 0.000
0.000 0.000 6.798
La Y In
8 6 1
Cartesian
-0.851 2.262 2.244
-2.283 7.692 2.244
1.534 1.868 4.554
0.000 5.391 2.525
4.668 2.695 4.273
3.135 6.218 2.244
6.952 0.394 4.554
5.520 5.823 4.554
-1.113 3.559 5.780
-1.030 7.270 5.780
2.526 2.743 1.018
2.143 5.343 5.780
5.698 0.816 1.018
5.781 4.527 1.018
0.000 0.000 0.000
```

=====

(6)
This entry pairs a crystal structure of La5YIn2 with its computed X-ray diffraction stick pattern. Radiation: Cu Kα (weighted mean of Kα1 and Kα2). Structure: DFT lattice parameters and positions (GGA-PBE).

Main lines, in order of rising 2θ (2θ = 10–80°):
- 2.873 Å, I = 100
- 2.810 Å, I = 100
- 2.778 Å, I = 92
- 2.056 Å, I = 20
- 2.007 Å, I = 15
- 1.924 Å, I = 17
- 1.653 Å, I = 38
- 1.633 Å, I = 30
- 1.599 Å, I = 34
- 1.405 Å, I = 11

```
La5YIn2
1.0
8.029 0.000 0.000
0.000 16.450 0.000
0.000 0.000 3.849
La Y In
10 2 4
Cartesian
0.000 0.000 0.000
0.128 4.091 0.000
1.772 14.310 1.924
2.243 6.085 1.924
3.886 12.316 0.000
4.014 8.225 0.000
4.143 4.134 0.000
5.786 10.365 1.924
6.257 2.140 1.924
7.900 12.359 0.000
0.000 8.225 0.000
4.014 0.000 0.000
1.864 10.198 1.924
2.150 1.973 1.924
5.878 14.477 1.924
6.165 6.252 1.924
```

=====

(7)
This entry pairs a crystal structure of LaYIn4 with its computed X-ray diffraction stick pattern. Radiation: Cu Kα (weighted mean of Kα1 and Kα2). Structure: DFT lattice parameters and positions (GGA-PBE).

Main lines, in order of rising 2θ (2θ = 10–80°):
- 3.026 Å, I = 50
- 2.908 Å, I = 34
- 2.808 Å, I = 100
- 2.576 Å, I = 70
- 2.416 Å, I = 26
- 2.380 Å, I = 42
- 2.124 Å, I = 20
- 1.842 Å, I = 18
- 1.595 Å, I = 23
- 1.368 Å, I = 19

```
LaYIn4
1.0
-2.380 3.756 4.594
2.380 -3.756 4.594
2.380 3.756 -4.594
La Y In
1 1 4
Cartesian
0.000 0.000 0.000
0.000 3.756 1.076
2.380 -1.569 1.943
2.380 2.247 -0.975
2.380 1.569 1.943
0.000 1.509 3.618
```

=====

(8)
This entry pairs a crystal structure of LaYIn6 with its computed X-ray diffraction stick pattern. Radiation: Cu Kα (weighted mean of Kα1 and Kα2). Structure: DFT lattice parameters and positions (GGA-PBE).

Main lines, in order of rising 2θ (2θ = 10–80°):
- 2.930 Å, I = 24
- 2.645 Å, I = 25
- 2.563 Å, I = 100
- 1.964 Å, I = 15
- 1.692 Å, I = 18
- 1.511 Å, I = 19
- 1.425 Å, I = 20
- 1.412 Å, I = 14
- 1.282 Å, I = 3
- 1.206 Å, I = 3

```
LaYIn6
1.0
5.291 0.000 0.000
0.000 3.386 5.857
0.000 -3.386 5.857
La Y In
1 1 6
Cartesian
0.000 0.000 0.000
2.645 0.000 7.818
0.000 -1.631 2.966
0.000 1.631 2.966
0.000 0.000 5.797
2.645 0.000 2.076
2.645 -1.585 4.825
2.645 1.585 4.825
```